[1]
# Rb3Cu2I6
Theoretical powder diffraction line list, a wavelength of 1.5418 Å. Input: a DFT-relaxed cell (GGA-PBE, Alexandria).
Lines closer than 0.1° are merged.

abc: 5.418 5.418 30.494
angles: 90.00 90.00 90.00
Space group I4/mmm (No. 139)
Inequivalent atoms, fractional coordinates:
Rb 0.000 0.000 0.000 (multiplicity 2)
Rb 0.000 0.000 0.179 (multiplicity 4)
Cu 0.000 0.000 0.391 (multiplicity 4)
I 0.000 0.000 0.304 (multiplicity 4)
I 0.000 0.500 0.086 (multiplicity 8)

Largest 10 diffraction maxima, in order of rising 2θ, 2θ = 10–90°:
- 11.61 deg, I = 26
- 18.56 deg, I = 15
- 23.95 deg, I = 40
- 26.25 deg, I = 11
- 29.21 deg, I = 100
- 33.06 deg, I = 63
- 42.70 deg, I = 18
- 44.75 deg, I = 26
- 47.46 deg, I = 22
- 56.71 deg, I = 36



[2]
# RbCuI3
Theoretical powder diffraction line list, a wavelength of 1.5418 Å. Input: a DFT-relaxed cell (GGA-PBE, Alexandria).
Lines closer than 0.1° are merged.

abc: 9.998 4.479 9.185
angles: 90.00 90.00 90.00
Space group Pmma (No. 51)
Inequivalent atoms, fractional coordinates:
Rb 0.250 0.000 0.060 (multiplicity 2)
Cu 0.250 0.500 0.642 (multiplicity 2)
I 0.039 0.500 0.809 (multiplicity 4)
I 0.250 0.000 0.501 (multiplicity 2)

Largest 10 diffraction maxima, in order of rising 2θ, 2θ = 10–90°:
- 20.22 deg, I = 41
- 23.83 deg, I = 40
- 26.35 deg, I = 87
- 26.72 deg, I = 97
- 27.82 deg, I = 100
- 35.93 deg, I = 30
- 39.97 deg, I = 60
- 40.27 deg, I = 37
- 46.04 deg, I = 33
- 48.77 deg, I = 31



[3]
# Rb2SrCu2I6
Theoretical powder diffraction line list, a wavelength of 1.5418 Å. Input: a DFT-relaxed cell (GGA-PBE, Alexandria).
Lines closer than 0.1° are merged.

abc: 14.163 8.521 9.400
angles: 90.00 117.71 90.00
Space group C2/m (No. 12)
Inequivalent atoms, fractional coordinates:
Rb 0.211 0.000 0.186 (multiplicity 4)
Sr 0.000 0.000 0.500 (multiplicity 2)
Cu 0.045 0.500 0.264 (multiplicity 4)
I 0.060 0.246 0.803 (multiplicity 8)
I 0.247 0.500 0.400 (multiplicity 4)

Largest 10 diffraction maxima, in order of rising 2θ, 2θ = 10–90°:
- 19.36 deg, I = 35
- 21.35 deg, I = 44
- 21.78 deg, I = 72
- 23.46 deg, I = 33
- 24.73 deg, I = 29
- 25.28 deg, I = 100
- 28.60 deg, I = 36
- 30.01 deg, I = 44
- 42.43 deg, I = 28
- 44.87 deg, I = 33



[4]
# RbVCu2I8
Theoretical powder diffraction line list, a wavelength of 1.5418 Å. Input: a DFT-relaxed cell (GGA-PBE, Alexandria).
Lines closer than 0.1° are merged.

abc: 11.569 7.748 10.568
angles: 90.00 99.82 90.00
Space group C2/m (No. 12)
Inequivalent atoms, fractional coordinates:
Rb 0.000 0.000 0.000 (multiplicity 2)
V 0.000 0.000 0.500 (multiplicity 2)
Cu 0.118 0.500 0.297 (multiplicity 4)
I 0.033 0.244 0.690 (multiplicity 8)
I 0.175 0.500 0.078 (multiplicity 4)
I 0.235 0.000 0.492 (multiplicity 4)

Largest 10 diffraction maxima, in order of rising 2θ, 2θ = 10–90°:
- 15.53 deg, I = 51
- 23.00 deg, I = 33
- 25.06 deg, I = 53
- 26.14 deg, I = 34
- 27.72 deg, I = 58
- 27.85 deg, I = 70
- 28.35 deg, I = 73
- 28.73 deg, I = 100
- 44.21 deg, I = 45
- 45.31 deg, I = 49



[5]
# CuRhI
Theoretical powder diffraction line list, a wavelength of 1.5418 Å. Input: a DFT-relaxed cell (GGA-PBE, Alexandria).
Lines closer than 0.1° are merged.

abc: 4.038 4.041 10.306
angles: 89.88 85.36 60.10
Space group P-1 (No. 2)
Inequivalent atoms, fractional coordinates:
Cu 0.219 0.143 0.307 (multiplicity 2)
Rh 0.152 0.174 0.554 (multiplicity 2)
I 0.078 0.210 0.824 (multiplicity 2)

Largest 10 diffraction maxima, in order of rising 2θ, 2θ = 10–90°:
- 25.48 deg, I = 85
- 25.55 deg, I = 95
- 26.55 deg, I = 96
- 38.53 deg, I = 47
- 41.75 deg, I = 37
- 42.74 deg, I = 100
- 44.71 deg, I = 39
- 44.85 deg, I = 92
- 45.00 deg, I = 74
- 45.17 deg, I = 47



[6]
# Cu2RuI6
Theoretical powder diffraction line list, a wavelength of 1.5418 Å. Input: a DFT-relaxed cell (GGA-PBE, Alexandria).
Lines closer than 0.1° are merged.

abc: 14.786 13.186 7.055
angles: 90.00 102.45 90.00
Space group C2/c (No. 15)
Inequivalent atoms, fractional coordinates:
Cu 0.059 0.098 0.140 (multiplicity 8)
Ru 0.000 0.421 0.250 (multiplicity 4)
I 0.102 0.435 0.615 (multiplicity 8)
I 0.114 0.283 0.140 (multiplicity 8)
I 0.122 0.066 0.514 (multiplicity 8)

Largest 10 diffraction maxima, in order of rising 2θ, 2θ = 10–90°:
- 12.26 deg, I = 62
- 14.63 deg, I = 28
- 24.66 deg, I = 42
- 25.50 deg, I = 33
- 26.15 deg, I = 30
- 28.67 deg, I = 100
- 31.09 deg, I = 35
- 37.35 deg, I = 25
- 41.83 deg, I = 27
- 47.68 deg, I = 24



[7]
# Cu5S2I2
Theoretical powder diffraction line list, a wavelength of 1.5418 Å. Input: a DFT-relaxed cell (GGA-PBE, Alexandria).
Lines closer than 0.1° are merged.

abc: 4.025 7.434 8.410
angles: 105.48 103.84 90.06
Space group P-1 (No. 2)
Inequivalent atoms, fractional coordinates:
Cu 0.000 0.000 0.000 (multiplicity 1)
Cu 0.143 0.321 0.277 (multiplicity 2)
Cu 0.376 0.881 0.760 (multiplicity 2)
S 0.137 0.006 0.267 (multiplicity 2)
I 0.360 0.470 0.729 (multiplicity 2)

Largest 10 diffraction maxima, in order of rising 2θ, 2θ = 10–90°:
- 14.28 deg, I = 81
- 22.65 deg, I = 100
- 24.91 deg, I = 24
- 25.26 deg, I = 28
- 32.82 deg, I = 32
- 39.53 deg, I = 30
- 40.96 deg, I = 36
- 45.05 deg, I = 23
- 51.00 deg, I = 21
- 52.89 deg, I = 20



[8]
# CuS2I2
Theoretical powder diffraction line list, a wavelength of 1.5418 Å. Input: a DFT-relaxed cell (GGA-PBE, Alexandria).
Lines closer than 0.1° are merged.

abc: 19.416 3.772 4.313
angles: 90.00 94.94 90.00
Space group Cm (No. 8)
Inequivalent atoms, fractional coordinates:
Cu 0.000 0.000 0.000 (multiplicity 2)
S 0.356 0.000 0.200 (multiplicity 2)
S 0.435 0.000 0.931 (multiplicity 2)
I 0.078 0.000 0.535 (multiplicity 2)
I 0.243 0.000 0.875 (multiplicity 2)

Largest 10 diffraction maxima, in order of rising 2θ, 2θ = 10–90°:
- 18.35 deg, I = 26
- 21.90 deg, I = 44
- 24.04 deg, I = 100
- 26.54 deg, I = 27
- 28.96 deg, I = 44
- 31.64 deg, I = 22
- 33.17 deg, I = 26
- 33.81 deg, I = 36
- 40.50 deg, I = 53
- 44.48 deg, I = 26



[9]
# CuS2I
Theoretical powder diffraction line list, a wavelength of 1.5418 Å. Input: a DFT-relaxed cell (GGA-PBE, Alexandria).
Lines closer than 0.1° are merged.

abc: 8.474 13.080 4.467
angles: 90.00 90.00 90.00
Space group C222_1 (No. 20)
Inequivalent atoms, fractional coordinates:
Cu 0.212 0.000 0.000 (multiplicity 4)
S 0.112 0.415 0.794 (multiplicity 8)
I 0.000 0.124 0.250 (multiplicity 4)

Largest 10 diffraction maxima, in order of rising 2θ, 2θ = 10–90°:
- 12.45 deg, I = 45
- 13.54 deg, I = 64
- 23.52 deg, I = 44
- 24.13 deg, I = 100
- 30.53 deg, I = 20
- 32.17 deg, I = 55
- 34.65 deg, I = 42
- 38.32 deg, I = 26
- 41.39 deg, I = 24
- 43.20 deg, I = 22



[10]
# CuSb5I2
Theoretical powder diffraction line list, a wavelength of 1.5418 Å. Input: a DFT-relaxed cell (GGA-PBE, Alexandria).
Lines closer than 0.1° are merged.

abc: 16.749 6.635 5.439
angles: 90.00 96.35 90.00
Space group Cm (No. 8)
Inequivalent atoms, fractional coordinates:
Cu 0.000 0.000 0.000 (multiplicity 2)
Sb 0.023 0.233 0.423 (multiplicity 4)
Sb 0.125 0.271 0.037 (multiplicity 4)
Sb 0.451 0.000 0.020 (multiplicity 2)
I 0.269 0.000 0.282 (multiplicity 2)
I 0.360 0.500 0.769 (multiplicity 2)

Largest 10 diffraction maxima, in order of rising 2θ, 2θ = 10–90°:
- 10.63 deg, I = 100
- 16.40 deg, I = 39
- 22.31 deg, I = 53
- 25.53 deg, I = 65
- 28.98 deg, I = 85
- 30.03 deg, I = 35
- 33.71 deg, I = 41
- 34.07 deg, I = 59
- 39.56 deg, I = 37
- 44.39 deg, I = 36



[11]
# Cu2SbI6
Theoretical powder diffraction line list, a wavelength of 1.5418 Å. Input: a DFT-relaxed cell (GGA-PBE, Alexandria).
Lines closer than 0.1° are merged.

abc: 15.751 14.783 7.803
angles: 90.00 109.65 90.00
Space group C2/c (No. 15)
Inequivalent atoms, fractional coordinates:
Cu 0.229 0.035 0.287 (multiplicity 8)
Sb 0.000 0.397 0.250 (multiplicity 4)
I 0.115 0.406 0.663 (multiplicity 8)
I 0.118 0.277 0.174 (multiplicity 8)
I 0.129 0.002 0.964 (multiplicity 8)

Largest 10 diffraction maxima, in order of rising 2θ, 2θ = 10–90°:
- 11.97 deg, I = 52
- 18.32 deg, I = 32
- 18.97 deg, I = 85
- 23.61 deg, I = 36
- 24.01 deg, I = 45
- 25.54 deg, I = 100
- 27.03 deg, I = 29
- 27.57 deg, I = 76
- 30.41 deg, I = 28
- 41.88 deg, I = 34



[12]
# TlCu2SbI6
Theoretical powder diffraction line list, a wavelength of 1.5418 Å. Input: a DFT-relaxed cell (GGA-PBE, Alexandria).
Lines closer than 0.1° are merged.

abc: 14.229 14.116 7.734
angles: 90.00 97.47 90.00
Space group C2/c (No. 15)
Inequivalent atoms, fractional coordinates:
Tl 0.000 0.082 0.250 (multiplicity 4)
Cu 0.171 0.418 0.294 (multiplicity 8)
Sb 0.000 0.275 0.750 (multiplicity 4)
I 0.120 0.271 0.106 (multiplicity 8)
I 0.137 0.117 0.654 (multiplicity 8)
I 0.138 0.425 0.620 (multiplicity 8)

Largest 10 diffraction maxima, in order of rising 2θ, 2θ = 10–90°:
- 19.90 deg, I = 35
- 20.32 deg, I = 27
- 22.63 deg, I = 45
- 23.47 deg, I = 26
- 27.89 deg, I = 63
- 28.25 deg, I = 100
- 38.26 deg, I = 40
- 39.92 deg, I = 64
- 40.31 deg, I = 58
- 42.40 deg, I = 31



[13]
# ScCuTe2I
Theoretical powder diffraction line list, a wavelength of 1.5418 Å. Input: a DFT-relaxed cell (GGA-PBE, Alexandria).
Lines closer than 0.1° are merged.

abc: 5.221 5.221 5.205
angles: 90.00 90.00 90.00
Space group P4/mmm (No. 123)
Inequivalent atoms, fractional coordinates:
Sc 0.000 0.000 0.000 (multiplicity 1)
Cu 0.500 0.500 0.500 (multiplicity 1)
Te 0.000 0.500 0.500 (multiplicity 2)
I 0.500 0.500 0.000 (multiplicity 1)

Largest 10 diffraction maxima, in order of rising 2θ, 2θ = 10–90°:
- 17.00 deg, I = 52
- 29.67 deg, I = 100
- 34.35 deg, I = 66
- 34.46 deg, I = 33
- 38.60 deg, I = 27
- 49.43 deg, I = 69
- 58.66 deg, I = 28
- 58.81 deg, I = 14
- 61.60 deg, I = 23
- 82.69 deg, I = 20